# Mn2AgF6
Calculated X-ray powder pattern, Cu Kα X-rays. Input: DFT lattice parameters and positions (PBE+U).

Most intense lines, 2θ from 10° to 80°, sorted by position:
2θ 19.7, d = 4.496 Å, I 126, hkl 1 0 1; 2θ 25.1, d = 3.551 Å, I 1000, hkl 1 1 0; 2θ 32.0, d = 2.795 Å, I 696, hkl 1 0 3; 2θ 35.8, d = 2.511 Å, I 113, hkl 2 0 0; 2θ 36.8, d = 2.442 Å, I 131, hkl 1 1 3; 2θ 48.8, d = 1.868 Å, I 669, hkl 2 1 3; 2θ 51.5, d = 1.775 Å, I 206, hkl 2 2 0; 2θ 58.1, d = 1.588 Å, I 126, hkl 3 1 0; 2θ 60.9, d = 1.520 Å, I 144, hkl 1 1 6; 2θ 61.9, d = 1.499 Å, I 218, hkl 3 0 3

Cell and atoms:
Cell: 5.022 5.022 10.092 Å, 90.00 90.00 90.00°
Fractional coordinates of all 18 atoms:
1 Mn 0.000 0.000 0.169
2 Mn 0.000 0.000 0.831
3 Mn 0.500 0.500 0.331
4 Mn 0.500 0.500 0.669
5 Ag 0.000 0.000 0.500
6 Ag 0.500 0.500 0.000
7 F 0.179 0.179 0.000
8 F 0.217 0.217 0.312
9 F 0.217 0.217 0.688
10 F 0.283 0.717 0.188
11 F 0.283 0.717 0.812
12 F 0.321 0.679 0.500
13 F 0.679 0.321 0.500
14 F 0.717 0.283 0.188
15 F 0.717 0.283 0.812
16 F 0.783 0.783 0.312
17 F 0.783 0.783 0.688
18 F 0.821 0.821 0.000